This entry pairs a crystal structure of BaNaSr6Ni with its calculated powder diffraction line list. Radiation: Cu Ka. Structure: a structure optimized by DFT (PBE).

Structure:
abc: 7.407 7.427 8.473
angles: 89.18 72.32 81.01
Sites, in units of the cell vectors:
Ba 0.000 0.000 0.000
Na 0.005 0.989 0.497
Sr 0.005 0.494 0.749
Sr 0.503 0.241 0.365
Sr 0.505 0.727 0.121
Sr 0.511 0.750 0.617
Sr 0.521 0.250 0.866
Sr 0.991 0.486 0.248
Ni 0.755 0.369 0.058

Main lines, by angle (2θ = 15–90°):
d/Å  intensity
3.481  100
3.050  26
3.030  26
2.965  24
2.150  19
2.129  10
2.123  9
2.119  18
1.834  8
1.825  15
1.797  11
1.741  15



This entry pairs a crystal structure of Ba6Na2TlNi with its calculated powder diffraction line list. Radiation: Cu Ka. Structure: a structure optimized by DFT (PBE).

Structure:
abc: 9.205 9.205 9.205
angles: 120.04 119.93 90.02
Sites, in units of the cell vectors:
Ba 0.238 0.238 0.000
Ba 0.238 0.238 0.476
Ba 0.238 0.762 0.000
Ba 0.762 0.238 0.000
Ba 0.762 0.762 0.000
Ba 0.762 0.762 0.524
Na 0.250 0.750 0.500
Na 0.750 0.250 0.500
Tl 0.500 0.500 0.000
Ni 0.000 0.000 0.000

Main lines, by angle (2θ = 15–90°):
d/Å  intensity
3.758  52
3.255  100
2.987  14
2.911  55
2.301  75
2.170  30
1.963  23
1.879  26
1.805  15
1.579  17
1.455  33
1.329  24



This entry pairs a crystal structure of BaNa2Np2O7 with its calculated powder diffraction line list. Radiation: Cu Ka. Structure: a structure optimized by DFT (PBE).

Structure:
abc: 10.514 10.514 10.514
angles: 156.03 156.03 34.15
Sites, in units of the cell vectors:
Ba 0.000 0.000 0.000
Na 0.250 0.750 0.500
Na 0.750 0.250 0.500
Np 0.392 0.392 0.000
Np 0.608 0.608 0.000
O 0.099 0.599 0.500
O 0.292 0.292 0.000
O 0.401 0.901 0.500
O 0.500 0.500 0.000
O 0.599 0.099 0.500
O 0.708 0.708 0.000
O 0.901 0.401 0.500

Main lines, by angle (2θ = 15–90°):
d/Å  intensity
5.025  18
4.267  47
3.658  62
3.087  46
2.956  100
2.631  14
2.183  36
1.988  13
1.875  20
1.756  38
1.685  18
1.648  14